Diffraction record for NdDy2Sc. The powder X-ray diffraction pattern is theoretical, not measured: it uses the PBE geometry in Alexandria and Cu Kα (λ = 1.5418 Å).
Intensities are scaled so that the largest is 100.

Structure:
```
NdDy2Sc
1.0
3.5229 0.0000 0.0000
0.0000 3.5229 0.0000
0.0000 0.0000 9.8713
Nd Dy Sc
1 2 1
Direct
0.0000 0.0000 0.0000
0.5000 0.5000 0.2657
0.5000 0.5000 0.7343
0.0000 0.0000 0.5000
```

Top 8 peaks for 10° ≤ 2θ ≤ 90°, low angle first:
Position (°2θ)  I (rel.)  (hkl)
31.2  100  1 0 2
36.1  35  1 1 0
36.4  15  0 0 4
51.9  12  2 0 0
52.2  22  1 1 4
61.8  28  2 1 2
62.3  11  1 0 6
65.1  11  2 0 4



Diffraction record for Nb5VRu4. The powder X-ray diffraction pattern is theoretical, not measured: it uses the PBE geometry in Alexandria and Cu Kα (λ = 1.5418 Å).
Intensities are scaled so that the largest is 100.

Structure:
```
Nb5VRu4
1.0
3.1915 0.0000 0.0000
0.0000 3.1915 0.0000
0.0000 0.0000 15.7725
Nb V Ru
5 1 4
Direct
0.0000 0.0000 0.0000
0.0000 0.0000 0.2009
0.0000 0.0000 0.4038
0.0000 0.0000 0.5962
0.0000 0.0000 0.7991
0.5000 0.5000 0.5000
0.5000 0.5000 0.0991
0.5000 0.5000 0.2979
0.5000 0.5000 0.7021
0.5000 0.5000 0.9009
```

Top 8 peaks for 10° ≤ 2θ ≤ 90°, low angle first:
Position (°2θ)  I (rel.)  (hkl)
40.0  51  1 1 0
40.2  100  1 0 5
57.8  17  2 0 0
58.5  8  0 0 10
72.7  33  2 1 5
73.2  16  1 1 10
86.2  5  2 2 0
86.8  10  2 0 10



Diffraction record for MgTlAg2F6. The powder X-ray diffraction pattern is theoretical, not measured: it uses the PBE geometry in Alexandria and Cu Kα (λ = 1.5418 Å).
Intensities are scaled so that the largest is 100.

Structure:
```
MgTlAg2F6
1.0
5.9179 0.0000 0.0000
0.0000 5.9835 0.0000
-5.8751 0.0000 8.3997
Mg Tl Ag F
2 2 4 12
Direct
0.0000 0.0000 0.0000
0.0000 0.5000 0.5000
0.5000 0.0000 0.5000
0.5000 0.5000 0.0000
0.2727 0.0655 0.7528
0.2727 0.4345 0.2528
0.7273 0.5655 0.7472
0.7273 0.9345 0.2472
0.1020 0.0329 0.2251
0.1020 0.4671 0.7251
0.2231 0.7149 0.0595
0.2231 0.7851 0.5595
0.3432 0.1765 0.0671
0.3432 0.3235 0.5671
0.6568 0.6765 0.4329
0.6568 0.8235 0.9329
0.7769 0.2149 0.4405
0.7769 0.2851 0.9405
0.8980 0.5329 0.2749
0.8980 0.9671 0.7749
```

Top 8 peaks for 10° ≤ 2θ ≤ 90°, low angle first:
Position (°2θ)  I (rel.)  (hkl)
18.2  58  1 0 0
29.9  28  0 2 0
30.0  68  1 1 1
30.1  100  1 1 -3
35.4  21  1 0 2
35.5  22  2 1 -3
43.0  46  0 0 4
53.7  26  2 0 -6



Diffraction record for OsC2Cl2. The powder X-ray diffraction pattern is theoretical, not measured: it uses the PBE geometry in Alexandria and Cu Kα (λ = 1.5418 Å).
Intensities are scaled so that the largest is 100.

Structure:
```
OsC2Cl2
1.0
6.6766 0.0000 0.0000
0.0000 6.6766 0.0000
0.0000 0.0000 5.1354
Os C Cl
2 4 4
Direct
0.0000 0.0000 0.0000
0.5000 0.5000 0.5000
0.0000 0.0000 0.3740
0.0000 0.0000 0.6260
0.5000 0.5000 0.1260
0.5000 0.5000 0.8740
0.0000 0.5000 0.2500
0.0000 0.5000 0.7500
0.5000 0.0000 0.2500
0.5000 0.0000 0.7500
```

Top 8 peaks for 10° ≤ 2θ ≤ 90°, low angle first:
Position (°2θ)  I (rel.)  (hkl)
18.8  45  1 1 0
21.8  100  1 0 1
26.7  88  2 0 0
34.8  64  2 1 1
38.1  33  2 2 0
40.0  49  1 1 2
52.5  21  3 2 1
56.4  35  3 1 2